[1]
For BaCaCu4O8, a structure optimized by DFT (PBE) gives the calculated XRD peak list in this record (Cu Kα).
Kinematic intensities with the Lorentz-polarization factor, no thermal factor.

Principal peaks in the range 15° ≤ 2θ ≤ 90°, low angle first:
Position (°2θ)  d [Å]  intensity
29.97  2.982  100
33.29  2.691  83
45.40  1.998  32
57.44  1.604  30
58.67  1.573  34
59.49  1.554  24

Atomic structure:
```
BaCaCu4O8
1.0
5.383 0.000 0.000
-2.691 4.662 0.000
0.000 0.000 7.758
Ba Ca Cu O
1 1 4 8
direct
0.000 0.000 0.000
0.000 0.000 0.500
0.333 0.667 0.239
0.333 0.667 0.761
0.667 0.333 0.239
0.667 0.333 0.761
0.000 0.331 0.299
0.000 0.669 0.701
0.331 0.000 0.299
0.331 0.331 0.701
0.333 0.667 0.000
0.667 0.333 0.000
0.669 0.000 0.701
0.669 0.669 0.299
```



[2]
For V4P3, a structure optimized by DFT (PBE) gives the calculated XRD peak list in this record (Cu Kα).
Kinematic intensities with the Lorentz-polarization factor, no thermal factor.

Principal peaks in the range 15° ≤ 2θ ≤ 90°, low angle first:
Position (°2θ)  d [Å]  intensity
38.79  2.321  70
40.40  2.233  100
42.13  2.145  36
44.45  2.038  62
50.99  1.791  42
56.98  1.616  36

Atomic structure:
```
V4P3
1.0
1.616 -6.643 0.000
1.616 6.643 0.000
0.000 0.000 17.232
V P
16 12
direct
0.000 0.000 0.000
0.000 0.000 0.500
0.056 0.944 0.750
0.262 0.738 0.662
0.262 0.738 0.838
0.333 0.667 0.028
0.333 0.667 0.472
0.466 0.534 0.619
0.466 0.534 0.881
0.534 0.466 0.119
0.534 0.466 0.381
0.667 0.333 0.528
0.667 0.333 0.972
0.738 0.262 0.162
0.738 0.262 0.338
0.944 0.056 0.250
0.097 0.903 0.618
0.097 0.903 0.882
0.158 0.842 0.077
0.158 0.842 0.423
0.307 0.693 0.250
0.415 0.585 0.750
0.585 0.415 0.250
0.693 0.307 0.750
0.842 0.158 0.577
0.842 0.158 0.923
0.903 0.097 0.118
0.903 0.097 0.382
```



[3]
For LiMg14Al, a structure optimized by DFT (PBE) gives the calculated XRD peak list in this record (Cu Kα).
Kinematic intensities with the Lorentz-polarization factor, no thermal factor.

Principal peaks in the range 15° ≤ 2θ ≤ 90°, low angle first:
Position (°2θ)  d [Å]  intensity
32.84  2.727  24
34.61  2.591  27
37.25  2.414  100
58.62  1.575  17
63.77  1.459  19
69.90  1.346  19

Atomic structure:
```
LiMg14Al
1.0
6.299 0.000 0.000
-3.149 5.455 0.000
0.000 0.000 10.366
Li Mg Al
1 14 1
direct
0.000 0.000 0.000
0.001 0.500 0.000
0.165 0.331 0.251
0.165 0.331 0.749
0.165 0.835 0.251
0.165 0.835 0.749
0.500 0.001 0.500
0.500 0.500 0.000
0.500 0.500 0.500
0.500 0.999 0.000
0.667 0.333 0.249
0.667 0.333 0.751
0.669 0.835 0.251
0.669 0.835 0.749
0.999 0.500 0.500
0.000 0.000 0.500
```



[4]
For LiMg6Ga, a structure optimized by DFT (PBE) gives the calculated XRD peak list in this record (Cu Kα).
Kinematic intensities with the Lorentz-polarization factor, no thermal factor.

Principal peaks in the range 15° ≤ 2θ ≤ 90°, low angle first:
Position (°2θ)  d [Å]  intensity
16.45  5.389  23
24.13  3.689  23
33.25  2.694  29
35.47  2.531  26
37.83  2.378  100
65.25  1.430  19

Atomic structure:
```
LiMg6Ga
1.0
5.061 0.000 0.000
0.000 3.108 5.393
0.000 -3.108 5.393
Li Mg Ga
1 6 1
direct
0.000 0.000 0.000
0.000 0.502 0.502
0.000 0.507 0.999
0.000 0.999 0.507
0.500 0.332 0.835
0.500 0.336 0.336
0.500 0.835 0.332
0.500 0.836 0.836
```



[5]
For Rb2NaLaCl6, a structure optimized by DFT (PBE) gives the calculated XRD peak list in this record (Cu Kα).
Kinematic intensities with the Lorentz-polarization factor, no thermal factor.

Principal peaks in the range 15° ≤ 2θ ≤ 90°, low angle first:
Position (°2θ)  d [Å]  intensity
22.72  3.913  100
27.92  3.195  33
32.35  2.767  92
39.90  2.259  47
46.41  1.957  63
77.07  1.237  26

Atomic structure:
```
Rb2NaLaCl6
1.0
0.000 5.534 5.534
5.534 0.000 5.534
5.534 5.534 0.000
Rb Na La Cl
2 1 1 6
direct
0.250 0.250 0.250
0.750 0.750 0.750
0.000 0.000 0.000
0.500 0.500 0.500
0.250 0.250 0.750
0.250 0.750 0.250
0.250 0.750 0.750
0.750 0.250 0.250
0.750 0.250 0.750
0.750 0.750 0.250
```



[6]
For TbFe6Sn4Ge2, a structure optimized by DFT (PBE) gives the calculated XRD peak list in this record (Cu Kα).
Kinematic intensities with the Lorentz-polarization factor, no thermal factor.

Principal peaks in the range 15° ≤ 2θ ≤ 90°, low angle first:
Position (°2θ)  d [Å]  intensity
33.81  2.651  100
36.54  2.459  84
39.24  2.296  45
39.77  2.266  86
44.58  2.032  49
62.27  1.491  37

Atomic structure:
```
TbFe6Sn4Ge2
1.0
5.302 0.000 0.000
-2.651 4.592 0.000
0.000 0.000 8.736
Tb Fe Sn Ge
1 6 4 2
direct
0.000 0.000 0.000
0.000 0.500 0.232
0.000 0.500 0.768
0.500 0.000 0.232
0.500 0.000 0.768
0.500 0.500 0.232
0.500 0.500 0.768
0.000 0.000 0.337
0.000 0.000 0.663
0.333 0.667 0.500
0.667 0.333 0.500
0.333 0.667 0.000
0.667 0.333 0.000
```